# 1
Starting from DFT lattice parameters and positions (PBE), the PXRD pattern of RbCuPdSe5 was calculated for Cu Kα, 1.54184 Å.

Crystal structure
Lattice parameters (Å, degrees): 6.380 7.424 9.303 90.00 103.03 90.00
Element x y z (fractional)
Rb: 0.246 0.250 0.449
Rb: 0.754 0.750 0.551
Cu: 0.390 0.250 0.891
Cu: 0.610 0.750 0.109
Pd: 0.000 0.000 0.000
Pd: 0.000 0.500 0.000
Se: 0.186 0.509 0.791
Se: 0.186 0.991 0.791
Se: 0.201 0.750 0.385
Se: 0.226 0.750 0.133
Se: 0.455 0.750 0.848
Se: 0.545 0.250 0.152
Se: 0.774 0.250 0.867
Se: 0.799 0.250 0.615
Se: 0.814 0.009 0.209
Se: 0.814 0.491 0.209

Main lines, by angle (2θ = 10–90°):
2θ (°)  I (rel.)
26.83  23
28.00  43
28.18  16
29.82  44
30.80  100
36.51  24
37.32  23
46.00  29
46.98  30
49.08  31

***

# 2
Starting from DFT lattice parameters and positions (PBE), the PXRD pattern of MoPd was calculated for Cu Kα, 1.54184 Å.

Crystal structure
Lattice parameters (Å, degrees): 4.913 4.913 4.913 32.81 32.81 32.81
Element x y z (fractional)
Mo: 0.000 0.000 0.000
Pd: 0.500 0.500 0.500

Main lines, by angle (2θ = 10–90°):
2θ (°)  I (rel.)
38.77  36
39.67  100
45.87  65
66.27  21
67.50  20
79.51  13
80.66  24
81.23  12
83.20  4
85.47  11